# FeCu3
Computed powder XRD pattern, copper Kα. Input: a structure optimized by DFT (GGA-PBE).
Peak positions follow from Bragg's law for the DFT cell and can differ from measured ones.

Structural model:
```
FeCu3
1.0
2.892 0.000 0.000
0.000 4.019 0.000
0.000 0.000 8.231
Fe Cu
2 6
Direct
0.000 0.000 0.000
0.500 0.500 0.000
0.000 0.000 0.500
0.000 0.500 0.251
0.000 0.500 0.749
0.500 0.000 0.251
0.500 0.000 0.749
0.500 0.500 0.500
```

Most intense lines, 10 to 80 degrees two-theta, in order of rising 2θ:
- 2θ 10.7, rel. 1
- 2θ 44.0, rel. 26
- 2θ 44.4, rel. 100
- 2θ 45.1, rel. 24
- 2θ 64.4, rel. 8
- 2θ 64.9, rel. 15



# FeCu2GeS4
Computed powder XRD pattern, copper Kα. Input: a structure optimized by DFT (GGA-PBE).
Peak positions follow from Bragg's law for the DFT cell and can differ from measured ones.

Structural model:
```
FeCu2GeS4
1.0
5.339 0.000 0.000
0.000 5.339 0.000
0.000 0.000 10.467
Fe Cu Ge S
2 4 2 8
Direct
0.000 0.000 0.000
0.500 0.500 0.500
0.000 0.500 0.250
0.000 0.500 0.750
0.500 0.000 0.250
0.500 0.000 0.750
0.000 0.000 0.500
0.500 0.500 0.000
0.250 0.250 0.374
0.250 0.250 0.874
0.250 0.750 0.126
0.250 0.750 0.626
0.750 0.250 0.126
0.750 0.250 0.626
0.750 0.750 0.374
0.750 0.750 0.874
```

Most intense lines, 10 to 80 degrees two-theta, in order of rising 2θ:
- 2θ 29.2, rel. 100
- 2θ 33.6, rel. 7
- 2θ 34.3, rel. 3
- 2θ 48.2, rel. 20
- 2θ 48.7, rel. 39
- 2θ 57.3, rel. 27
- 2θ 58.3, rel. 13
- 2θ 60.5, rel. 3
- 2θ 70.6, rel. 6
- 2θ 72.2, rel. 3
- 2θ 78.1, rel. 5
- 2θ 78.9, rel. 10



# FeCu2GeS4
Computed powder XRD pattern, copper Kα. Input: a structure optimized by DFT (GGA-PBE).
Peak positions follow from Bragg's law for the DFT cell and can differ from measured ones.

Structural model:
```
FeCu2GeS4
1.0
5.313 0.000 0.000
0.000 5.313 0.000
0.000 0.000 10.594
Fe Cu Ge S
2 4 2 8
Direct
0.000 0.000 0.000
0.500 0.500 0.500
0.000 0.000 0.500
0.000 0.500 0.750
0.500 0.000 0.250
0.500 0.500 0.000
0.000 0.500 0.250
0.500 0.000 0.750
0.248 0.750 0.124
0.250 0.248 0.876
0.250 0.252 0.376
0.252 0.750 0.624
0.748 0.250 0.624
0.750 0.748 0.376
0.750 0.752 0.876
0.752 0.250 0.124
```

Most intense lines, 10 to 80 degrees two-theta, in order of rising 2θ:
- 2θ 29.1, rel. 100
- 2θ 33.7, rel. 7
- 2θ 33.8, rel. 4
- 2θ 48.5, rel. 60
- 2θ 57.6, rel. 26
- 2θ 57.7, rel. 13
- 2θ 60.4, rel. 3
- 2θ 71.0, rel. 6
- 2θ 71.2, rel. 3
- 2θ 78.5, rel. 5
- 2θ 78.6, rel. 10



# Zn4FeCu10Ge5S20
Computed powder XRD pattern, copper Kα. Input: a structure optimized by DFT (GGA-PBE).
Peak positions follow from Bragg's law for the DFT cell and can differ from measured ones.

Structural model:
```
Zn4FeCu10Ge5S20
1.0
5.958 -2.664 0.000
5.958 2.664 0.000
-0.023 0.000 23.865
Zn Fe Cu Ge S
4 1 10 5 20
Direct
0.100 0.100 0.100
0.300 0.300 0.300
0.700 0.700 0.700
0.900 0.900 0.900
0.499 0.501 0.500
0.000 0.000 0.250
0.000 0.000 0.750
0.200 0.200 0.950
0.201 0.199 0.450
0.400 0.400 0.150
0.400 0.401 0.650
0.599 0.600 0.350
0.600 0.600 0.850
0.800 0.800 0.050
0.801 0.799 0.550
0.099 0.100 0.600
0.300 0.300 0.800
0.500 0.500 0.000
0.700 0.700 0.200
0.900 0.901 0.400
0.004 0.489 0.874
0.093 0.608 0.223
0.111 0.597 0.726
0.199 0.701 0.575
0.204 0.689 0.074
0.299 0.801 0.425
0.311 0.796 0.926
0.392 0.907 0.777
0.403 0.889 0.274
0.495 0.006 0.623
0.511 0.996 0.126
0.592 0.107 0.977
0.600 0.099 0.475
0.694 0.208 0.823
0.710 0.197 0.326
0.792 0.306 0.177
0.803 0.290 0.674
0.893 0.408 0.023
0.901 0.400 0.525
0.994 0.505 0.377
```

Most intense lines, 10 to 80 degrees two-theta, in order of rising 2θ:
- 2θ 29.0, rel. 100
- 2θ 33.6, rel. 12
- 2θ 48.3, rel. 60
- 2θ 57.3, rel. 40
- 2θ 60.1, rel. 3
- 2θ 70.7, rel. 9
- 2θ 78.1, rel. 8
- 2θ 78.2, rel. 8